Sn2Pd5Au2: simulated powder XRD pattern (Cu Kα), based on DFT lattice parameters and positions (PBE).
No peak broadening, texture or thermal motion is included.

Cell and atoms:
a b c (Å): 14.3096 4.9580 9.1643
angles (deg): 90.00 90.00 90.00
Space group Ima2 (No. 46)
Inequivalent atoms, fractional coordinates:
Sn1 0.1315 0.0614 0.0000
Pd1 0.0504 0.2494 0.7496
Pd2 0.1474 0.7489 0.7506
Pd3 0.2500 0.2490 0.7513
Au1 0.0000 0.0000 0.4994
Au2 0.2500 0.5659 0.0010

Main lines, sorted by position (2θ = 15–90°):
(4 1 1), 2θ = 32.4°, intensity 69; (5 1 0), 2θ = 36.2°, intensity 10; (1 2 1), 2θ = 38.1°, intensity 9; (0 0 4), 2θ = 39.3°, intensity 39; (0 2 2), 2θ = 41.4°, intensity 100; (4 1 3), 2θ = 43.0°, intensity 32; (4 1 5), 2θ = 59.7°, intensity 12; (5 3 0), 2θ = 65.2°, intensity 13; (0 2 6), 2θ = 72.7°, intensity 19; (5 3 4), 2θ = 78.9°, intensity 15